Structure and calculated powder diffractogram of EuYSi4N7 (a structure optimized by DFT (GGA-PBE); Cu Kα).
Neutral-atom scattering factors, no anomalous dispersion.

Crystal structure
Cell: 6.0495 6.0495 9.8862 Å, 90.00 90.00 120.00°
Space group P6_3mc (No. 186)
One atom of each set of equivalent atoms:
1 Eu 0.3333 0.6667 0.0000
2 Y 0.3333 0.6667 0.3655
3 Si 0.0000 0.0000 0.4414
4 Si 0.1737 0.3473 0.6744
5 N 0.0000 0.0000 0.2509
6 N 0.0219 0.5110 0.7253
7 N 0.1529 0.3058 0.5017

Largest 10 diffraction maxima, low angle first, 15° ≤ 2θ ≤ 90°:
| Position (°2θ) | I/Imax | index |
| --- | --- | --- |
| 16.92 | 21 | 1 0 0 |
| 19.17 | 26 | 1 0 1 |
| 29.53 | 67 | 1 1 0 |
| 32.09 | 100 | 1 0 3 |
| 34.77 | 75 | 1 1 2 |
| 35.45 | 58 | 2 0 1 |
| 54.03 | 38 | 2 1 3 |
| 55.82 | 24 | 0 0 6 |
| 58.48 | 27 | 2 0 5 |
| 61.29 | 27 | 2 2 0 |



Structure and calculated powder diffractogram of YbEuSi4N7 (a structure optimized by DFT (GGA-PBE); Cu Kα).
Neutral-atom scattering factors, no anomalous dispersion.

Crystal structure
Cell: 6.0292 6.0292 9.8847 Å, 90.00 90.00 120.00°
Space group P6_3mc (No. 186)
One atom of each set of equivalent atoms:
1 Yb 0.3333 0.6667 0.0000
2 Eu 0.3333 0.6667 0.6384
3 Si 0.0000 0.0000 0.0747
4 Si 0.1736 0.3471 0.3084
5 N 0.0000 0.0000 0.3850
6 N 0.0203 0.5102 0.3584
7 N 0.1527 0.3055 0.1359

Largest 10 diffraction maxima, low angle first, 15° ≤ 2θ ≤ 90°:
| Position (°2θ) | I/Imax | index |
| --- | --- | --- |
| 16.98 | 31 | 1 0 0 |
| 19.22 | 29 | 1 0 1 |
| 29.63 | 71 | 1 1 0 |
| 32.12 | 100 | 1 0 3 |
| 34.86 | 65 | 1 1 2 |
| 35.57 | 39 | 2 0 1 |
| 44.26 | 26 | 2 0 3 |
| 54.17 | 40 | 2 1 3 |
| 58.57 | 22 | 2 0 5 |
| 61.52 | 23 | 2 2 0 |



Structure and calculated powder diffractogram of NaEu3 (a structure optimized by DFT (GGA-PBE); Cu Kα).
Neutral-atom scattering factors, no anomalous dispersion.

Crystal structure
Cell: 8.8886 8.8886 8.8886 Å, 90.00 90.00 90.00°
Space group Fm-3m (No. 225)
One atom of each set of equivalent atoms:
1 Na 0.0000 0.0000 0.0000
2 Eu 0.0000 0.0000 0.5000
3 Eu 0.2500 0.2500 0.2500

Largest 10 diffraction maxima, low angle first, 15° ≤ 2θ ≤ 90°:
| Position (°2θ) | I/Imax | index |
| --- | --- | --- |
| 17.28 | 15 | 1 1 1 |
| 19.98 | 8 | 2 0 0 |
| 28.40 | 100 | 2 2 0 |
| 33.44 | 9 | 3 1 1 |
| 40.60 | 19 | 4 0 0 |
| 50.29 | 41 | 4 2 2 |
| 58.76 | 13 | 4 4 0 |
| 66.53 | 18 | 6 2 0 |
| 73.87 | 4 | 4 4 4 |
| 80.94 | 21 | 6 4 2 |



Structure and calculated powder diffractogram of NaEu3 (a structure optimized by DFT (GGA-PBE); Cu Kα).
Neutral-atom scattering factors, no anomalous dispersion.

Crystal structure
Cell: 4.1697 12.6311 6.3234 Å, 90.00 90.00 90.00°
Space group Imm2 (No. 44)
One atom of each set of equivalent atoms:
1 Na 0.0000 0.0000 0.0000
2 Eu 0.0000 0.2645 0.5050
3 Eu 0.0000 0.5000 0.0010

Largest 10 diffraction maxima, low angle first, 15° ≤ 2θ ≤ 90°:
| Position (°2θ) | I/Imax | index |
| --- | --- | --- |
| 15.67 | 9 | 0 1 1 |
| 22.45 | 10 | 1 1 0 |
| 25.42 | 14 | 0 3 1 |
| 28.24 | 54 | 0 0 2 |
| 29.30 | 100 | 1 2 1 |
| 40.37 | 20 | 0 4 2 |
| 50.65 | 40 | 1 2 3 |
| 52.59 | 19 | 2 0 2 |
| 60.76 | 12 | 2 4 2 |
| 85.00 | 9 | 3 2 3 |